Structure and computed powder diffractogram of DyScSb (a DFT-relaxed cell (GGA-PBE, the Materials Project); Cu Kα (weighted mean of Kα1 and Kα2)).

The 10 most intense peaks (15° ≤ 2θ ≤ 90°), by angle:
29.1°, intensity 100; 30.0°, intensity 54; 31.1°, intensity 68; 32.8°, intensity 36; 36.6°, intensity 91; 39.0°, intensity 42; 41.6°, intensity 72; 54.0°, intensity 34; 60.4°, intensity 32; 76.0°, intensity 33

Crystal structure
Cell: 4.3448 4.3448 8.1827 Å, 90.00 90.00 90.00°
Fractional coordinates of all 6 atoms:
Dy  0.2500  0.2500  0.1517
Dy  0.7500  0.7500  0.8483
Sc  0.2500  0.7500  0.5000
Sc  0.7500  0.2500  0.5000
Sb  0.2500  0.2500  0.7657
Sb  0.7500  0.7500  0.2343



Structure and computed powder diffractogram of Pm2MgTl (a DFT-relaxed cell (GGA-PBE, the Materials Project); Cu Kα (weighted mean of Kα1 and Kα2)).

The 10 most intense peaks (15° ≤ 2θ ≤ 90°), by angle:
19.9°, intensity 25; 32.7°, intensity 100; 38.6°, intensity 14; 46.9°, intensity 18; 51.5°, intensity 6; 58.4°, intensity 38; 62.3°, intensity 5; 68.6°, intensity 12; 72.2°, intensity 5; 78.1°, intensity 17

Crystal structure
Cell: 7.7417 7.7417 7.7417 Å, 90.00 90.00 90.00°
Fractional coordinates of all 16 atoms:
Pm  0.2500  0.2500  0.2500
Pm  0.2500  0.2500  0.7500
Pm  0.2500  0.7500  0.2500
Pm  0.2500  0.7500  0.7500
Pm  0.7500  0.2500  0.2500
Pm  0.7500  0.2500  0.7500
Pm  0.7500  0.7500  0.2500
Pm  0.7500  0.7500  0.7500
Mg  0.0000  0.0000  0.0000
Mg  0.0000  0.5000  0.5000
Mg  0.5000  0.0000  0.5000
Mg  0.5000  0.5000  0.0000
Tl  0.0000  0.0000  0.5000
Tl  0.0000  0.5000  0.0000
Tl  0.5000  0.0000  0.0000
Tl  0.5000  0.5000  0.5000



Structure and computed powder diffractogram of DySnAu2 (a DFT-relaxed cell (GGA-PBE, the Materials Project); Cu Kα (weighted mean of Kα1 and Kα2)).

The 10 most intense peaks (15° ≤ 2θ ≤ 90°), by angle:
21.8°, intensity 1; 25.3°, intensity 3; 36.0°, intensity 100; 44.5°, intensity 1; 51.9°, intensity 18; 58.5°, intensity 1; 64.8°, intensity 37; 76.4°, intensity 12; 82.0°, intensity 1; 87.5°, intensity 17

Crystal structure
Cell: 7.0507 7.0507 7.0507 Å, 90.00 90.00 90.00°
Fractional coordinates of all 16 atoms:
Dy  0.0000  0.0000  0.0000
Dy  0.0000  0.5000  0.5000
Dy  0.5000  0.0000  0.5000
Dy  0.5000  0.5000  0.0000
Sn  0.0000  0.0000  0.5000
Sn  0.0000  0.5000  0.0000
Sn  0.5000  0.0000  0.0000
Sn  0.5000  0.5000  0.5000
Au  0.2500  0.2500  0.2500
Au  0.2500  0.2500  0.7500
Au  0.2500  0.7500  0.2500
Au  0.2500  0.7500  0.7500
Au  0.7500  0.2500  0.2500
Au  0.7500  0.2500  0.7500
Au  0.7500  0.7500  0.2500
Au  0.7500  0.7500  0.7500



Structure and computed powder diffractogram of RbLiCu2H3S2O10 (a DFT-relaxed cell (GGA-PBE, the Materials Project); Cu Kα (weighted mean of Kα1 and Kα2)).

The 10 most intense peaks (15° ≤ 2θ ≤ 90°), by angle:
17.4°, intensity 52; 18.5°, intensity 55; 22.3°, intensity 49; 25.9°, intensity 97; 29.3°, intensity 100; 30.4°, intensity 67; 31.7°, intensity 40; 32.3°, intensity 98; 37.4°, intensity 65; 49.4°, intensity 32

Crystal structure
Cell: 5.9272 5.9322 7.7929 Å, 105.27 97.38 118.98°
Fractional coordinates of all 19 atoms:
Rb  0.0000  0.0000  0.0000
Li  0.8731  0.3822  0.2546
Cu  0.4932  0.5354  0.5305
Cu  0.9950  0.0371  0.5305
H  0.0709  0.5458  0.6171
H  0.2418  0.5476  0.7888
H  0.6903  0.6051  0.2951
S  0.4016  0.8287  0.2292
S  0.5778  0.2222  0.7995
O  0.1789  0.4700  0.6487
O  0.2732  0.0558  0.7336
O  0.2943  0.5878  0.2966
O  0.2998  0.0045  0.3034
O  0.3136  0.7114  0.0231
O  0.6728  0.3348  0.0075
O  0.6788  0.0447  0.7232
O  0.6790  0.4609  0.7337
O  0.7100  0.0032  0.2970
O  0.7882  0.6285  0.4165